Record 1
The following is a computed X-ray diffraction stick pattern of Pr2Ag2Ge3. It was derived from the PBE geometry in Alexandria, using Cu Kα.
Peak positions follow from Bragg's law for the DFT cell and can differ from measured ones.

Top 8 peaks for 2θ = 5–70°, by intensity:
d 2.699, I = 100, (1 5 1); d 2.787, I = 91, (1 1 2); d 2.251, I = 46, (2 0 0); d 2.149, I = 41, (0 4 3); d 2.908, I = 29, (0 6 1); d 1.554, I = 29, (2 4 3); d 2.575, I = 23, (1 3 2); d 2.383, I = 22, (0 8 0)

Structural model:
```
data_Pr2Ag2Ge3
_chemical_formula_sum 'Pr8 Ag8 Ge12'
_symmetry_space_group_name_H-M 'C m c m'
_symmetry_Int_Tables_number 63
_symmetry_space_group_name_Hall '-C 2c 2'
_cell_length_a 4.5027
_cell_length_b 19.0627
_cell_length_c 7.2215
_cell_angle_alpha 90.00
_cell_angle_beta 90.00
_cell_angle_gamma 90.00
loop_
_atom_site_label
_atom_site_type_symbol
_atom_site_fract_x
_atom_site_fract_y
_atom_site_fract_z
_atom_site_occupancy
Pr1 Pr 0.0000 0.0523 0.2500 1
Pr2 Pr 0.0000 0.1543 0.7500 1
Ag1 Ag 0.0000 0.3106 0.5554 1
Ge1 Ge 0.0000 0.2221 0.2500 1
Ge2 Ge 0.0000 0.4404 0.0710 1
```

=====

Record 2
The following is a computed X-ray diffraction stick pattern of Pr4Ag3Ge. It was derived from the PBE geometry in Alexandria, using Cu Kα.
Peak positions follow from Bragg's law for the DFT cell and can differ from measured ones.

Top 8 peaks for 2θ = 5–70°, by intensity:
d 2.653, I = 100, (1 1 0); d 2.669, I = 97, (0 1 8); d 1.535, I = 35, (1 2 8); d 1.881, I = 34, (2 0 8); d 1.531, I = 18, (3 0 0); d 1.544, I = 15, (1 0 16); d 3.763, I = 6, (1 0 4); d 2.904, I = 4, (1 0 7)

Structural model:
```
data_Pr4Ag3Ge
_chemical_formula_sum 'Pr12 Ag9 Ge3'
_symmetry_space_group_name_H-M 'R -3 m'
_symmetry_Int_Tables_number 166
_symmetry_space_group_name_Hall '-R 3 2"'
_cell_length_a 5.3051
_cell_length_b 5.3051
_cell_length_c 26.2272
_cell_angle_alpha 90.00
_cell_angle_beta 90.00
_cell_angle_gamma 120.00
loop_
_atom_site_label
_atom_site_type_symbol
_atom_site_fract_x
_atom_site_fract_y
_atom_site_fract_z
_atom_site_occupancy
Pr1 Pr 0.0000 0.0000 0.1210 1
Pr2 Pr 0.0000 0.0000 0.3721 1
Ag1 Ag 0.0000 0.0000 0.2429 1
Ag2 Ag 0.0000 0.0000 0.5000 1
Ge1 Ge 0.0000 0.0000 0.0000 1
```